No. 1
This entry pairs a crystal structure of SmHo3Ni4 with its computed X-ray diffraction stick pattern. Radiation: copper Kα. Structure: a GGA-PBE-relaxed structure.
Peak positions follow from Bragg's law for the DFT cell and can differ from measured ones.

Peak list (12 most intense, 2θ from 10° to 90°, most intense first)
2theta	d_spacing	Rel. int.
33.1	2.704	100.0
41.8	2.163	60.8
30.0	2.983	54.9
43.5	2.079	50.2
35.5	2.532	45.4
29.8	2.996	44.3
35.7	2.516	42.6
37.3	2.411	42.6
42.0	2.152	38.9
37.1	2.425	38.1
27.1	3.294	34.7
57.4	1.606	32.3

Cell and atoms:
```
SmHo3Ni4
1.0
5.3982 0.0000 0.0000
0.0000 4.1572 0.0000
-0.0676 0.0000 7.1201
Sm Ho Ni
1 3 4
Cartesian
0.0000 0.0000 0.0000
1.3777 2.0786 2.5640
2.6295 2.0786 6.0787
4.0555 0.0000 3.5494
-0.0273 2.0786 5.0413
1.3405 0.0000 4.5333
2.7038 0.0000 1.0237
4.0178 2.0786 1.5554
```



No. 2
This entry pairs a crystal structure of SmHo3Ni4 with its computed X-ray diffraction stick pattern. Radiation: copper Kα. Structure: a GGA-PBE-relaxed structure.
Peak positions follow from Bragg's law for the DFT cell and can differ from measured ones.

Peak list (12 most intense, 2θ from 10° to 90°, most intense first)
2theta	d_spacing	Rel. int.
33.2	2.696	100.0
43.3	2.088	52.2
35.2	2.548	47.5
35.9	2.504	45.0
35.5	2.530	44.1
41.7	2.164	41.9
30.8	2.899	38.1
41.5	2.175	37.4
28.9	3.092	36.6
27.0	3.305	35.0
57.2	1.610	33.1
38.6	2.330	33.0

Cell and atoms:
```
SmHo3Ni4
1.0
5.4422 0.0000 0.0000
0.0000 4.1764 0.0000
-2.5072 0.0000 21.1790
Sm Ho Ni
3 9 12
Cartesian
0.0000 0.0000 0.0000
4.1854 0.0000 10.5981
4.0052 2.0882 2.5345
-0.0028 0.0000 7.0482
-1.2570 0.0000 17.6378
1.2854 0.0000 3.5341
0.0305 0.0000 14.1138
0.2139 2.0882 20.1804
1.4687 2.0882 9.5961
2.7541 2.0882 6.0805
1.5037 2.0882 16.6674
2.7478 2.0882 13.1278
-1.2731 2.0882 15.6479
-0.0144 2.0882 5.0679
1.3266 2.0882 1.5260
0.0752 2.0882 12.1231
2.6791 0.0000 1.0099
1.4342 0.0000 11.6130
2.7650 0.0000 8.0573
1.5122 0.0000 18.6461
2.8019 0.0000 15.1266
4.0570 0.0000 4.5541
4.1386 2.0882 8.5718
2.8845 2.0882 19.1611
```



No. 3
This entry pairs a crystal structure of HoNiSn with its computed X-ray diffraction stick pattern. Radiation: copper Kα. Structure: a GGA-PBE-relaxed structure.
Peak positions follow from Bragg's law for the DFT cell and can differ from measured ones.

Peak list (12 most intense, 2θ from 10° to 90°, most intense first)
2theta	d_spacing	Rel. int.
33.7	2.657	100.0
36.7	2.447	62.3
37.9	2.372	43.7
43.3	2.092	23.9
69.6	1.351	23.1
61.5	1.508	21.9
46.5	1.955	20.5
58.0	1.590	19.1
65.3	1.428	13.8
52.6	1.740	12.5
44.7	2.028	9.5
72.8	1.300	9.5

Cell and atoms:
```
HoNiSn
1.0
7.2462 0.0000 0.0000
-3.6231 6.2754 0.0000
0.0000 0.0000 3.9094
Ho Ni Sn
3 3 3
Cartesian
-2.1528 3.7287 0.0000
1.4703 2.5467 0.0000
4.3055 0.0000 0.0000
0.0000 0.0000 0.0000
0.0000 4.1836 1.9547
3.6231 2.0918 1.9547
-0.9411 1.6300 1.9547
1.8821 0.0000 1.9547
2.6821 4.6455 1.9547
```



No. 4
This entry pairs a crystal structure of Ho4NiSn8 with its computed X-ray diffraction stick pattern. Radiation: copper Kα. Structure: a GGA-PBE-relaxed structure.
Peak positions follow from Bragg's law for the DFT cell and can differ from measured ones.

Peak list (12 most intense, 2θ from 10° to 90°, most intense first)
2theta	d_spacing	Rel. int.
32.9	2.720	100.0
41.1	2.197	34.9
69.7	1.349	24.0
31.8	2.815	17.9
52.9	1.732	17.6
59.5	1.554	11.9
33.5	2.678	8.7
38.0	2.370	8.6
57.4	1.606	8.5
69.1	1.360	8.1
87.3	1.117	5.6
57.2	1.612	5.3

Cell and atoms:
```
Ho4NiSn8
1.0
4.3910 0.0000 0.0000
0.0000 4.3974 0.0000
0.0000 0.0000 16.8880
Ho Ni Sn
4 1 8
Cartesian
0.0000 0.0000 0.0000
0.0000 2.1987 8.3290
2.1955 0.0000 13.4252
2.1955 2.1987 5.0106
0.0000 2.1987 11.9412
0.0000 0.0000 5.5980
0.0000 0.0000 10.6817
0.0000 2.1987 2.4258
0.0000 2.1987 14.4138
2.1955 0.0000 2.5630
2.1955 0.0000 7.6782
2.1955 2.1987 10.6881
2.1955 2.1987 16.4037
```



No. 5
This entry pairs a crystal structure of HoNiSn4 with its computed X-ray diffraction stick pattern. Radiation: copper Kα. Structure: a GGA-PBE-relaxed structure.
Peak positions follow from Bragg's law for the DFT cell and can differ from measured ones.

Peak list (12 most intense, 2θ from 10° to 90°, most intense first)
2theta	d_spacing	Rel. int.
32.4	2.760	100.0
36.0	2.492	80.6
40.4	2.233	53.6
40.3	2.239	49.3
40.5	2.226	48.4
31.5	2.841	45.0
58.5	1.578	36.9
29.8	2.995	34.0
28.4	3.138	25.7
52.0	1.759	22.9
52.2	1.752	22.6
67.9	1.380	21.3

Cell and atoms:
```
HoNiSn4
1.0
2.2257 -14.2040 0.0000
2.2257 14.2040 0.0000
0.0000 0.0000 4.4782
Ho Ni Sn
2 2 8
Cartesian
2.2257 8.7250 0.0000
2.2257 -8.7250 0.0000
2.2257 1.4433 2.2391
2.2257 -1.4433 2.2391
0.0000 0.0000 2.2391
2.2257 11.1162 2.2391
2.2257 6.0736 2.2391
2.2257 3.0702 0.0000
2.2257 0.0000 0.0000
2.2257 -3.0702 0.0000
2.2257 -6.0736 2.2391
2.2257 -11.1162 2.2391
```



No. 6
This entry pairs a crystal structure of Ho6Ni2Sn with its computed X-ray diffraction stick pattern. Radiation: copper Kα. Structure: a GGA-PBE-relaxed structure.
Peak positions follow from Bragg's law for the DFT cell and can differ from measured ones.

Peak list (12 most intense, 2θ from 10° to 90°, most intense first)
2theta	d_spacing	Rel. int.
32.2	2.782	100.0
34.6	2.590	47.9
34.3	2.615	34.2
35.2	2.550	33.3
30.2	2.958	25.3
60.3	1.534	25.1
56.4	1.631	21.6
28.3	3.157	19.2
38.6	2.332	18.7
35.6	2.525	18.6
29.3	3.045	16.1
35.8	2.509	16.0

Cell and atoms:
```
Ho6Ni2Sn
1.0
-4.6645 4.7936 5.0182
4.6645 -4.7936 5.0182
4.6645 4.7936 -5.0182
Ho Ni Sn
12 4 2
Cartesian
4.6645 2.8181 -2.6675
2.6868 1.7633 0.0000
6.6421 1.7633 0.0000
1.7937 4.7936 -1.7881
2.8708 0.0000 3.2301
0.0000 1.9755 2.3507
4.6645 2.8181 2.6675
1.7937 4.7936 1.7881
2.8708 0.0000 6.8063
-1.9777 3.0302 5.0182
1.9777 3.0302 5.0182
0.0000 1.9755 7.6857
4.6645 0.0000 1.2080
0.0000 3.4280 0.0000
0.0000 6.1591 0.0000
0.0000 4.7936 3.8102
0.0000 0.0000 0.0000
0.0000 0.0000 5.0182
```



No. 7
This entry pairs a crystal structure of Ho2Ni2Sn with its computed X-ray diffraction stick pattern. Radiation: copper Kα. Structure: a GGA-PBE-relaxed structure.
Peak positions follow from Bragg's law for the DFT cell and can differ from measured ones.

Peak list (12 most intense, 2θ from 10° to 90°, most intense first)
2theta	d_spacing	Rel. int.
36.8	2.444	100.0
34.6	2.594	53.1
39.1	2.302	44.0
27.4	3.256	20.8
64.7	1.442	20.1
57.9	1.593	18.1
59.4	1.557	17.3
49.3	1.849	16.8
34.9	2.574	14.1
51.8	1.766	13.3
29.7	3.004	12.5
70.7	1.332	11.7

Cell and atoms:
```
Ho2Ni2Sn
1.0
7.2803 0.0000 0.0000
0.0000 7.2803 0.0000
0.0000 0.0000 3.6983
Ho Ni Sn
4 4 2
Cartesian
1.2639 2.3763 0.0000
2.3763 6.0164 0.0000
4.9040 1.2639 0.0000
6.0164 4.9040 0.0000
0.8990 4.5391 1.8491
2.7412 0.8990 1.8491
4.5391 6.3813 1.8491
6.3813 2.7412 1.8491
0.0000 0.0000 1.8491
3.6402 3.6402 1.8491
```



No. 8
This entry pairs a crystal structure of HoNiSn with its computed X-ray diffraction stick pattern. Radiation: copper Kα. Structure: a GGA-PBE-relaxed structure.
Peak positions follow from Bragg's law for the DFT cell and can differ from measured ones.

Peak list (12 most intense, 2θ from 10° to 90°, most intense first)
2theta	d_spacing	Rel. int.
34.5	2.602	100.0
40.9	2.205	50.6
33.4	2.682	40.6
34.8	2.577	39.2
40.0	2.253	38.4
54.1	1.696	27.2
66.8	1.401	20.6
40.3	2.238	19.6
58.1	1.588	13.4
69.1	1.359	13.3
75.1	1.265	13.1
37.8	2.379	10.2

Cell and atoms:
```
HoNiSn
1.0
7.0267 0.0000 0.0000
0.0000 4.5060 0.0000
0.0000 0.0000 7.5836
Ho Ni Sn
4 4 4
Cartesian
0.0612 1.1265 1.5549
3.4521 3.3795 5.3467
3.5746 1.1265 2.2369
6.9654 3.3795 6.0286
1.4423 3.3795 3.2052
2.0710 1.1265 6.9970
4.9556 3.3795 0.5866
5.5844 1.1265 4.3783
1.3540 1.1265 4.4756
2.1594 3.3795 0.6838
4.8673 1.1265 6.8998
5.6727 3.3795 3.1080
```



No. 9
This entry pairs a crystal structure of HoNiSn2 with its computed X-ray diffraction stick pattern. Radiation: copper Kα. Structure: a GGA-PBE-relaxed structure.
Peak positions follow from Bragg's law for the DFT cell and can differ from measured ones.

Peak list (12 most intense, 2θ from 10° to 90°, most intense first)
2theta	d_spacing	Rel. int.
33.7	2.662	100.0
34.9	2.569	96.2
40.7	2.217	58.7
38.2	2.355	36.4
36.0	2.498	32.0
29.4	3.038	29.4
32.2	2.778	26.2
57.1	1.614	24.4
53.6	1.711	23.2
30.6	2.923	20.6
33.3	2.689	18.6
54.7	1.678	16.9

Cell and atoms:
```
HoNiSn2
1.0
16.1352 0.0000 0.0000
0.0000 4.4331 0.0000
0.0000 0.0000 14.6230
Ho Ni Sn
12 12 24
Cartesian
2.0335 1.1083 3.3009
2.3534 3.3248 8.8011
2.4461 1.1083 14.2319
5.6214 3.3248 6.9204
5.7142 1.1083 1.4896
6.0341 3.3248 10.6124
10.1010 1.1083 4.0106
10.4210 3.3248 13.1334
10.5137 1.1083 7.7027
13.6890 3.3248 0.3912
13.7818 1.1083 5.8219
14.1017 3.3248 11.3221
0.8544 3.3248 1.5677
3.1117 1.1083 10.8954
3.2317 1.1083 6.6380
4.8359 3.3248 13.9495
4.9559 3.3248 3.5839
7.2132 1.1083 8.8792
8.9220 3.3248 5.7438
11.1793 1.1083 11.0391
11.2993 1.1083 0.6735
12.9034 3.3248 7.9850
13.0235 3.3248 3.7276
15.2808 1.1083 13.0553
0.3275 3.3248 13.4879
0.4973 1.1083 10.7397
0.6907 1.1083 6.5404
2.8261 3.3248 5.3832
2.9558 3.3248 12.0273
3.4676 3.3248 1.5313
4.5999 1.1083 8.8428
5.1117 1.1083 4.7158
5.2415 1.1083 12.6947
7.3769 3.3248 13.8520
7.5703 3.3248 3.4282
7.7401 1.1083 6.1764
8.3951 3.3248 8.4466
8.5649 1.1083 11.1948
8.7583 1.1083 0.7711
10.8937 3.3248 1.9283
11.0234 3.3248 9.9072
11.5352 3.3248 5.7802
12.6675 1.1083 13.0917
13.1793 1.1083 2.5957
13.3091 1.1083 9.2398
15.4445 3.3248 8.0826
15.6379 3.3248 3.8833
15.8076 1.1083 1.1351
```



No. 10
This entry pairs a crystal structure of HoNp with its computed X-ray diffraction stick pattern. Radiation: copper Kα. Structure: a GGA-PBE-relaxed structure.
Peak positions follow from Bragg's law for the DFT cell and can differ from measured ones.

Peak list (12 most intense, 2θ from 10° to 90°, most intense first)
2theta	d_spacing	Rel. int.
35.0	2.562	100.0
30.8	2.907	30.9
57.5	1.603	24.7
31.3	2.853	24.0
65.1	1.433	22.5
44.5	2.036	18.8
55.8	1.647	17.8
67.6	1.386	15.3
84.3	1.149	8.6
15.2	5.814	4.5
73.1	1.295	4.5
74.0	1.281	4.3

Cell and atoms:
```
HoNp
1.0
3.2948 0.0000 0.0000
-1.6474 2.8534 0.0000
0.0000 0.0000 5.8145
Ho Np
1 1
Cartesian
0.0000 0.0000 0.0000
1.6474 0.9511 2.9072
```



No. 11
This entry pairs a crystal structure of Ho3Np with its computed X-ray diffraction stick pattern. Radiation: copper Kα. Structure: a GGA-PBE-relaxed structure.
Peak positions follow from Bragg's law for the DFT cell and can differ from measured ones.

Peak list (12 most intense, 2θ from 10° to 90°, most intense first)
2theta	d_spacing	Rel. int.
33.5	2.673	100.0
31.8	2.813	25.5
29.4	3.038	23.4
62.4	1.488	22.7
57.8	1.596	21.5
52.1	1.754	19.4
63.4	1.467	16.2
43.9	2.064	16.0
86.5	1.125	14.2
89.3	1.097	9.0
81.6	1.180	8.1
70.4	1.337	4.0

Cell and atoms:
```
Ho3Np
1.0
7.0160 0.0000 0.0000
-3.5080 6.0760 0.0000
0.0000 0.0000 5.6261
Ho Np
6 2
Cartesian
0.0000 2.0506 1.4065
-1.7321 5.0507 1.4065
1.7759 1.0253 4.2196
1.7321 5.0507 1.4065
5.2401 1.0253 4.2196
3.5080 4.0254 4.2196
0.0000 4.0507 4.2196
3.5080 2.0253 1.4065
```



No. 12
This entry pairs a crystal structure of HoNpRu2 with its computed X-ray diffraction stick pattern. Radiation: copper Kα. Structure: a GGA-PBE-relaxed structure.
Peak positions follow from Bragg's law for the DFT cell and can differ from measured ones.

Peak list (12 most intense, 2θ from 10° to 90°, most intense first)
2theta	d_spacing	Rel. int.
37.9	2.373	100.0
68.5	1.370	35.5
54.7	1.678	17.4
26.6	3.356	11.8
81.0	1.187	11.2
61.8	1.501	5.1
46.9	1.938	3.7
22.9	3.876	2.9
87.1	1.119	2.7
44.8	2.024	1.7
60.1	1.540	0.8
85.6	1.135	0.6

Cell and atoms:
```
HoNpRu2
1.0
6.7126 0.0000 0.0000
0.0000 6.7126 0.0000
0.0000 0.0000 6.7126
Ho Np Ru
4 4 8
Cartesian
0.0000 0.0000 0.0000
0.0000 3.3563 3.3563
3.3563 0.0000 3.3563
3.3563 3.3563 0.0000
0.0000 0.0000 3.3563
0.0000 3.3563 0.0000
3.3563 0.0000 0.0000
3.3563 3.3563 3.3563
1.6781 1.6781 1.6781
1.6781 1.6781 5.0344
1.6781 5.0344 1.6781
1.6781 5.0344 5.0344
5.0344 1.6781 1.6781
5.0344 1.6781 5.0344
5.0344 5.0344 1.6781
5.0344 5.0344 5.0344
```



No. 13
This entry pairs a crystal structure of Ho2O3 with its computed X-ray diffraction stick pattern. Radiation: copper Kα. Structure: a GGA-PBE-relaxed structure.
Peak positions follow from Bragg's law for the DFT cell and can differ from measured ones.

Peak list (12 most intense, 2θ from 10° to 90°, most intense first)
2theta	d_spacing	Rel. int.
28.7	3.111	100.0
57.2	1.611	29.1
47.4	1.917	27.9
33.7	2.662	24.9
48.3	1.883	16.4
32.4	2.762	10.1
16.0	5.523	9.6
40.5	2.227	9.5
55.6	1.654	9.3
89.7	1.093	8.9
59.4	1.556	8.0
76.7	1.243	7.2

Cell and atoms:
```
Ho2O3
1.0
3.7653 0.0000 0.0000
0.0000 3.7653 0.0000
0.0000 0.0000 5.5232
Ho O
2 3
Cartesian
0.0000 1.8826 1.1647
1.8826 0.0000 4.3585
0.0000 0.0000 0.0000
0.0000 0.0000 2.7616
1.8826 1.8826 0.0000
```